Entry 1:
# NdDyCuAu
Computed PXRD pattern, Cu Kα (weighted mean of Kα1 and Kα2). Input: a structure optimized by DFT (GGA-PBE).
Kinematic intensities with the Lorentz-polarization factor, no thermal factor.

Lattice parameters (Å, degrees): 4.5834 5.8226 5.8226 38.45 90.00 90.00
Fractional positions:
Nd  0.0000  0.0000  0.0000
Dy  0.5000  0.2783  0.2783
Cu  0.5000  0.5633  0.5633
Au  0.0000  0.7195  0.7195

Top 10 peaks for 15 to 90 degrees two-theta, sorted by position:
d_spacing	Position (°2θ)	Rel. int.
5.498	16.12	20
2.841	31.49	100
2.749	32.57	26
2.649	33.83	27
2.357	38.17	26
2.293	39.29	97
1.917	47.42	18
1.761	51.94	19
1.470	63.24	16
1.227	77.81	16

Entry 2:
# DyYCuAu
Computed PXRD pattern, Cu Kα (weighted mean of Kα1 and Kα2). Input: a structure optimized by DFT (GGA-PBE).
Kinematic intensities with the Lorentz-polarization factor, no thermal factor.

Lattice parameters (Å, degrees): 4.5877 5.6736 5.6736 38.71 90.00 90.00
Fractional positions:
Dy  0.0000  0.0000  0.0000
Y  0.5000  0.2800  0.2800
Cu  0.5000  0.5587  0.5587
Au  0.0000  0.7172  0.7172

Top 10 peaks for 15 to 90 degrees two-theta, sorted by position:
d_spacing	Position (°2θ)	Rel. int.
4.588	19.35	29
2.807	31.89	100
2.676	33.48	28
2.589	34.65	32
2.312	38.96	34
2.294	39.28	36
2.254	39.99	79
1.880	48.41	20
1.741	52.56	20
1.717	53.37	19

Entry 3:
# ErCuAu
Computed PXRD pattern, Cu Kα (weighted mean of Kα1 and Kα2). Input: a structure optimized by DFT (GGA-PBE).
Kinematic intensities with the Lorentz-polarization factor, no thermal factor.

Lattice parameters (Å, degrees): 4.0415 4.2634 6.9642 90.00 90.00 90.00
Fractional positions:
Er  0.2500  0.2500  0.1769
Er  0.7500  0.7500  0.8231
Cu  0.2500  0.7500  0.5038
Cu  0.7500  0.2500  0.4962
Au  0.2500  0.2500  0.7495
Au  0.7500  0.7500  0.2505

Top 10 peaks for 15 to 90 degrees two-theta, sorted by position:
d_spacing	Position (°2θ)	Rel. int.
3.483	25.57	34
2.933	30.48	67
2.701	33.16	36
2.243	40.20	100
2.132	42.40	30
2.021	44.85	25
1.819	50.16	15
1.467	63.43	18
1.251	76.08	15
1.205	79.54	14

Entry 4:
# Er6Cu5Au
Computed PXRD pattern, Cu Kα (weighted mean of Kα1 and Kα2). Input: a structure optimized by DFT (GGA-PBE).
Kinematic intensities with the Lorentz-polarization factor, no thermal factor.

Lattice parameters (Å, degrees): 4.9078 6.8823 7.7661 90.00 108.38 90.00
Fractional positions:
Er  0.0000  0.2453  0.0000
Er  0.0000  0.7547  0.0000
Er  0.3314  0.2473  0.6629
Er  0.3314  0.7527  0.6629
Er  0.6686  0.2473  0.3371
Er  0.6686  0.7527  0.3371
Cu  0.1652  0.0000  0.3291
Cu  0.1684  0.5000  0.3399
Cu  0.5000  0.0000  0.0000
Cu  0.8316  0.5000  0.6601
Cu  0.8348  0.0000  0.6709
Au  0.5000  0.5000  0.0000

Top 10 peaks for 15 to 90 degrees two-theta, sorted by position:
d_spacing	Position (°2θ)	Rel. int.
3.472	25.66	11
2.455	36.60	51
2.444	36.77	100
1.736	52.72	18
1.721	53.24	9
1.415	66.00	35
1.409	66.34	17
1.222	78.22	11
1.098	89.17	6
1.097	89.29	10

Entry 5:
# ErCu9Au2
Computed PXRD pattern, Cu Kα (weighted mean of Kα1 and Kα2). Input: a structure optimized by DFT (GGA-PBE).
Kinematic intensities with the Lorentz-polarization factor, no thermal factor.

Lattice parameters (Å, degrees): 8.4652 8.4652 8.4652 34.25 34.25 34.25
Fractional positions:
Er  0.0000  0.0000  0.0000
Cu  0.0811  0.5867  0.5867
Cu  0.3337  0.3337  0.3337
Cu  0.4133  0.4133  0.9189
Cu  0.4133  0.9189  0.4133
Cu  0.5000  0.5000  0.5000
Cu  0.5867  0.0811  0.5867
Cu  0.5867  0.5867  0.0811
Cu  0.6663  0.6663  0.6663
Cu  0.9189  0.4133  0.4133
Au  0.1413  0.1413  0.1413
Au  0.8587  0.8587  0.8587

Top 10 peaks for 15 to 90 degrees two-theta, sorted by position:
d_spacing	Position (°2θ)	Rel. int.
2.677	33.48	51
2.492	36.04	59
2.455	36.60	36
2.150	42.03	39
2.112	42.81	100
2.030	44.64	14
1.940	46.84	15
1.472	63.17	17
1.353	69.46	23
1.246	76.43	22

Entry 6:
# Er4CuAu2
Computed PXRD pattern, Cu Kα (weighted mean of Kα1 and Kα2). Input: a structure optimized by DFT (GGA-PBE).
Kinematic intensities with the Lorentz-polarization factor, no thermal factor.

Lattice parameters (Å, degrees): 8.6301 8.6301 8.6301 33.27 33.27 33.27
Fractional positions:
Er  0.1238  0.1238  0.1238
Er  0.3737  0.3737  0.3737
Er  0.6263  0.6263  0.6263
Er  0.8762  0.8762  0.8762
Cu  0.0000  0.0000  0.0000
Au  0.2463  0.2463  0.2463
Au  0.7537  0.7537  0.7537

Top 10 peaks for 15 to 90 degrees two-theta, sorted by position:
d_spacing	Position (°2θ)	Rel. int.
4.038	22.01	29
2.486	36.13	100
2.470	36.37	100
1.752	52.20	35
1.438	64.82	18
1.429	65.28	36
1.426	65.44	18
1.235	77.24	11
1.110	87.94	16
1.106	88.36	17

Entry 7:
# ErHfCuAu
Computed PXRD pattern, Cu Kα (weighted mean of Kα1 and Kα2). Input: a structure optimized by DFT (GGA-PBE).
Kinematic intensities with the Lorentz-polarization factor, no thermal factor.

Lattice parameters (Å, degrees): 4.8383 4.8383 4.8383 60.00 60.00 60.00
Fractional positions:
Er  0.0000  0.0000  0.0000
Hf  0.5000  0.5000  0.5000
Cu  0.7500  0.7500  0.7500
Au  0.2500  0.2500  0.2500

Top 10 peaks for 15 to 90 degrees two-theta, sorted by position:
d_spacing	Position (°2θ)	Rel. int.
3.950	22.51	10
3.421	26.05	2
2.419	37.17	100
2.063	43.89	6
1.711	53.57	18
1.570	58.83	3
1.397	67.00	36
1.317	71.67	2
1.210	79.19	11
1.157	83.60	2

Entry 8:
# ErCuRhAu
Computed PXRD pattern, Cu Kα (weighted mean of Kα1 and Kα2). Input: a structure optimized by DFT (GGA-PBE).
Kinematic intensities with the Lorentz-polarization factor, no thermal factor.

Lattice parameters (Å, degrees): 3.9447 3.9683 4.3567 90.00 90.00 90.00
Fractional positions:
Er  0.0000  0.0000  0.0000
Cu  0.0000  0.5000  0.5000
Rh  0.5000  0.5000  0.0000
Au  0.5000  0.0000  0.5000

Top 10 peaks for 15 to 90 degrees two-theta, sorted by position:
d_spacing	Position (°2θ)	Rel. int.
3.968	22.40	11
2.354	38.23	100
2.178	41.45	20
1.984	45.73	15
1.972	46.02	15
1.467	63.41	11
1.462	63.64	11
1.289	73.47	15
1.205	79.53	12
1.200	79.96	12

Entry 9:
# CuAuF5
Computed PXRD pattern, Cu Kα (weighted mean of Kα1 and Kα2). Input: a structure optimized by DFT (GGA-PBE).
Kinematic intensities with the Lorentz-polarization factor, no thermal factor.

Lattice parameters (Å, degrees): 3.8071 5.1608 5.5245 91.10 98.28 107.80
Fractional positions:
Cu  0.0000  0.0000  0.0000
Au  0.0000  0.5000  0.5000
F  0.1205  0.3445  0.8162
F  0.1814  0.2324  0.3300
F  0.5000  0.0000  0.0000
F  0.8186  0.7676  0.6700
F  0.8795  0.6555  0.1838

Top 10 peaks for 15 to 90 degrees two-theta, sorted by position:
d_spacing	Position (°2θ)	Rel. int.
5.455	16.25	34
4.903	18.09	36
3.774	23.57	100
3.579	24.87	96
3.530	25.23	79
3.063	29.16	49
2.786	32.13	25
2.727	32.84	31
2.452	36.65	32
2.442	36.80	27

Entry 10:
# CuAuF6
Computed PXRD pattern, Cu Kα (weighted mean of Kα1 and Kα2). Input: a structure optimized by DFT (GGA-PBE).
Kinematic intensities with the Lorentz-polarization factor, no thermal factor.

Lattice parameters (Å, degrees): 5.3760 5.5678 9.4357 90.00 124.66 90.00
Fractional positions:
Cu  0.0000  0.0000  0.0000
Cu  0.0000  0.5000  0.5000
Au  0.5000  0.0000  0.5000
Au  0.5000  0.5000  0.0000
F  0.1494  0.0169  0.2436
F  0.1494  0.4831  0.7436
F  0.2417  0.7083  0.0475
F  0.2417  0.7917  0.5475
F  0.3424  0.1977  0.0471
F  0.3424  0.3023  0.5471
F  0.6576  0.6977  0.4529
F  0.6576  0.8023  0.9529
F  0.7583  0.2083  0.4525
F  0.7583  0.2917  0.9525
F  0.8506  0.5169  0.2564
F  0.8506  0.9831  0.7564

Top 10 peaks for 15 to 90 degrees two-theta, sorted by position:
d_spacing	Position (°2θ)	Rel. int.
4.524	19.62	16
4.419	20.09	16
3.872	22.97	100
2.784	32.15	10
2.739	32.69	33
1.934	46.99	13
1.754	52.14	8
1.734	52.78	14
1.731	52.90	14
1.562	59.16	10

Entry 11:
# LiCuAuF6
Computed PXRD pattern, Cu Kα (weighted mean of Kα1 and Kα2). Input: a structure optimized by DFT (GGA-PBE).
Kinematic intensities with the Lorentz-polarization factor, no thermal factor.

Lattice parameters (Å, degrees): 5.1614 5.1614 9.5330 90.00 90.00 120.00
Fractional positions:
Li  0.3333  0.6667  0.2500
Li  0.6667  0.3333  0.7500
Cu  0.3333  0.6667  0.7500
Cu  0.6667  0.3333  0.2500
Au  0.0000  0.0000  0.0000
Au  0.0000  0.0000  0.5000
F  0.0151  0.3484  0.6346
F  0.0151  0.6666  0.8654
F  0.3334  0.3484  0.8654
F  0.3334  0.9849  0.6346
F  0.3484  0.0151  0.1346
F  0.3484  0.3334  0.3654
F  0.6516  0.6666  0.6346
F  0.6516  0.9849  0.8654
F  0.6666  0.0151  0.3654
F  0.6666  0.6516  0.1346
F  0.9849  0.3334  0.1346
F  0.9849  0.6516  0.3654

Top 10 peaks for 15 to 90 degrees two-theta, sorted by position:
d_spacing	Position (°2θ)	Rel. int.
4.470	19.86	46
4.047	21.96	11
3.261	27.35	100
2.581	34.76	22
2.269	39.72	18
2.103	43.01	15
2.024	44.79	27
1.751	52.25	33
1.592	57.91	25
1.490	62.31	13

Entry 12:
# Na2CuAuF
Computed PXRD pattern, Cu Kα (weighted mean of Kα1 and Kα2). Input: a structure optimized by DFT (GGA-PBE).
Kinematic intensities with the Lorentz-polarization factor, no thermal factor.

Lattice parameters (Å, degrees): 4.2322 4.2322 4.9031 90.00 90.00 90.00
Fractional positions:
Na  0.0000  0.5000  0.0000
Na  0.5000  0.0000  0.0000
Cu  0.0000  0.0000  0.5000
Au  0.5000  0.5000  0.5000
F  0.0000  0.0000  0.0000

Top 10 peaks for 15 to 90 degrees two-theta, sorted by position:
d_spacing	Position (°2θ)	Rel. int.
4.903	18.09	54
4.232	20.99	22
3.204	27.85	45
2.993	29.86	49
2.554	35.13	100
2.452	36.66	29
2.116	42.73	37
1.896	47.97	27
1.602	57.54	30
1.291	73.33	23

What did the tenth record say?
# CuAuF6
Computed PXRD pattern, Cu Kα (weighted mean of Kα1 and Kα2). Input: a structure optimized by DFT (GGA-PBE).
Kinematic intensities with the Lorentz-polarization factor, no thermal factor.

Lattice parameters (Å, degrees): 5.3760 5.5678 9.4357 90.00 124.66 90.00
Fractional positions:
Cu  0.0000  0.0000  0.0000
Cu  0.0000  0.5000  0.5000
Au  0.5000  0.0000  0.5000
Au  0.5000  0.5000  0.0000
F  0.1494  0.0169  0.2436
F  0.1494  0.4831  0.7436
F  0.2417  0.7083  0.0475
F  0.2417  0.7917  0.5475
F  0.3424  0.1977  0.0471
F  0.3424  0.3023  0.5471
F  0.6576  0.6977  0.4529
F  0.6576  0.8023  0.9529
F  0.7583  0.2083  0.4525
F  0.7583  0.2917  0.9525
F  0.8506  0.5169  0.2564
F  0.8506  0.9831  0.7564

Top 10 peaks for 15 to 90 degrees two-theta, sorted by position:
d_spacing	Position (°2θ)	Rel. int.
4.524	19.62	16
4.419	20.09	16
3.872	22.97	100
2.784	32.15	10
2.739	32.69	33
1.934	46.99	13
1.754	52.14	8
1.734	52.78	14
1.731	52.90	14
1.562	59.16	10